Diffraction record for Li3PrTl2. The powder X-ray diffraction pattern is calculated, not measured: it uses a structure optimized by DFT (GGA-PBE) and copper Kα.

Structure:
```
12
Lattice="7.391 -2.354 0.000 7.391 2.354 0.000 -4.658 0.000 7.977" Properties=species:S:1:pos:R:3 pbc="T T T"
Li -1.060 0.000 3.161
Li 1.787 0.000 3.429
Li 4.523 0.000 2.557
Li 5.602 0.000 5.420
Li 8.338 0.000 4.547
Li 11.184 0.000 4.816
Pr 1.919 0.000 0.037
Pr 8.206 0.000 7.940
Tl -0.298 0.000 5.881
Tl 2.833 0.000 6.270
Tl 7.291 0.000 1.707
Tl 10.423 0.000 2.096
```

Most intense lines, 2θ = 10–90°, in order of rising 2θ:
2theta, I_rel
11.09, 51.2
21.22, 40.4
24.68, 62.3
27.39, 24.3
28.27, 48.9
31.08, 34.6
35.16, 34.7
36.24, 100.0
36.47, 35.8
38.23, 33.3